Record 1
Diffraction record for Rb3Na5As3. The powder XRD pattern is computed, not measured: it uses a structure optimized by DFT (PBE) and copper Kα.

Peak list (8 most intense, 15 to 90 degrees two-theta, by angle)
Position (°2θ)	intensity
19.57	100
26.46	34
33.12	53
34.25	42
39.75	15
43.79	41
48.39	17
60.61	15

Cell and atoms:
```
11
Lattice="9.070 0.000 0.000 -4.535 7.855 0.000 0.000 0.000 6.738" Properties=species:S:1:pos:R:3 pbc="T T T"
Rb -1.573 2.724 0.000
Rb 3.146 0.000 0.000
Rb 2.962 5.131 0.000
Na -3.287 5.693 3.369
Na 1.248 2.162 3.369
Na 0.000 5.237 3.369
Na 4.535 2.618 3.369
Na 6.574 0.000 3.369
As -1.649 2.856 3.369
As 3.298 0.000 3.369
As 2.886 4.999 3.369
```


Record 2
Diffraction record for SrPaO. The powder XRD pattern is computed, not measured: it uses a structure optimized by DFT (PBE) and copper Kα.

Peak list (8 most intense, 15 to 90 degrees two-theta, by angle)
Position (°2θ)	intensity
26.92	60
30.20	63
30.96	100
36.55	77
40.89	50
45.98	50
53.64	34
61.02	38

Cell and atoms:
```
6
Lattice="13.248 0.000 0.000 0.000 1.708 2.961 0.000 -1.708 2.961" Properties=species:S:1:pos:R:3 pbc="T T T"
Sr 1.609 0.000 0.000
Sr 11.638 0.000 0.000
Pa 4.994 0.000 3.970
Pa 8.253 0.000 3.970
O 0.000 0.000 3.948
O 6.624 0.000 0.025
```


Record 3
Diffraction record for NbVFe6. The powder XRD pattern is computed, not measured: it uses a structure optimized by DFT (PBE) and copper Kα.

Peak list (8 most intense, 15 to 90 degrees two-theta, by angle)
Position (°2θ)	intensity
22.11	1
22.76	1
43.52	100
45.10	45
60.72	9
65.69	13
78.76	15
82.14	27

Cell and atoms:
```
32
Lattice="3.051 -5.685 0.000 3.051 5.685 0.000 0.000 0.000 11.372" Properties=species:S:1:pos:R:3 pbc="T T T"
Nb 0.000 0.000 2.807
Nb 0.000 0.000 8.566
Nb 3.051 2.873 5.686
Nb 3.051 -2.873 5.686
V 3.051 2.861 0.000
V 3.051 0.000 2.806
V 3.051 0.000 8.566
V 3.051 -2.861 0.000
Fe 0.000 0.000 0.000
Fe 0.000 0.000 5.686
Fe 1.565 1.447 1.377
Fe 1.565 1.447 9.996
Fe 1.572 1.398 4.217
Fe 1.572 1.398 7.155
Fe 3.051 2.837 2.801
Fe 3.051 2.837 8.571
Fe 1.572 -1.398 4.217
Fe 1.572 -1.398 7.155
Fe 1.565 -1.447 1.377
Fe 1.565 -1.447 9.996
Fe 3.051 0.000 0.000
Fe 3.051 0.000 5.686
Fe 4.536 1.447 1.377
Fe 4.536 1.447 9.996
Fe 4.529 1.398 4.217
Fe 4.529 1.398 7.155
Fe 3.051 -2.837 2.801
Fe 3.051 -2.837 8.571
Fe 4.529 -1.398 4.217
Fe 4.529 -1.398 7.155
Fe 4.536 -1.447 1.377
Fe 4.536 -1.447 9.996
```